Starting from a crystal structure in the Materials Project, relaxed with PBE, the PXRD pattern of Nd4CdNi was calculated for Cu Kα X-rays.

Peak list (10 most intense, 2θ from 5° to 70°, low angle first)
- d = 3.188 Å, 2θ = 27.99°, I 30
- d = 2.837 Å, 2θ = 31.54°, I 59
- d = 2.674 Å, 2θ = 33.51°, I 100
- d = 2.457 Å, 2θ = 36.58°, I 26
- d = 1.946 Å, 2θ = 46.68°, I 7
- d = 1.698 Å, 2θ = 54.01°, I 13
- d = 1.638 Å, 2θ = 56.16°, I 52
- d = 1.605 Å, 2θ = 57.43°, I 13
- d = 1.397 Å, 2θ = 67.01°, I 17
- d = 1.363 Å, 2θ = 68.91°, I 7

Crystal structure
Cell lengths 9.8260, 9.8260, 9.8260 Å; angles 60.00, 60.00, 60.00 degrees
Sites, in units of the cell vectors:
1 Nd 0.1857 0.1857 0.8143
2 Nd 0.1857 0.8143 0.1857
3 Nd 0.1857 0.8143 0.8143
4 Nd 0.4035 0.4035 0.4035
5 Nd 0.4035 0.4035 0.7895
6 Nd 0.4035 0.7895 0.4035
7 Nd 0.5594 0.5594 0.9406
8 Nd 0.5594 0.9406 0.5594
9 Nd 0.5594 0.9406 0.9406
10 Nd 0.7895 0.4035 0.4035
11 Nd 0.8143 0.1857 0.1857
12 Nd 0.8143 0.1857 0.8143
13 Nd 0.8143 0.8143 0.1857
14 Nd 0.9406 0.5594 0.5594
15 Nd 0.9406 0.5594 0.9406
16 Nd 0.9406 0.9406 0.5594
17 Cd 0.1708 0.1708 0.1708
18 Cd 0.1708 0.1708 0.4876
19 Cd 0.1708 0.4876 0.1708
20 Cd 0.4876 0.1708 0.1708
21 Ni 0.1744 0.6085 0.6085
22 Ni 0.6085 0.1744 0.6085
23 Ni 0.6085 0.6085 0.1744
24 Ni 0.6085 0.6085 0.6085

=====

Starting from a crystal structure in the Materials Project, relaxed with PBE, the PXRD pattern of Ho10Ti6O27 was calculated for Cu Kα X-rays.

Peak list (10 most intense, 2θ from 5° to 70°, low angle first)
- d = 3.063 Å, 2θ = 29.16°, I 100
- d = 2.966 Å, 2θ = 30.13°, I 45
- d = 2.817 Å, 2θ = 31.77°, I 40
- d = 2.584 Å, 2θ = 34.71°, I 18
- d = 2.568 Å, 2θ = 34.93°, I 39
- d = 1.901 Å, 2θ = 47.85°, I 15
- d = 1.860 Å, 2θ = 48.97°, I 30
- d = 1.785 Å, 2θ = 51.16°, I 24
- d = 1.601 Å, 2θ = 57.59°, I 14
- d = 1.536 Å, 2θ = 60.26°, I 12

Crystal structure
Cell lengths 7.4452, 7.4452, 12.1581 Å; angles 108.85, 108.85, 61.42 degrees
Sites, in units of the cell vectors:
1 Ho 0.0000 0.0000 0.0000
2 Ho 0.2565 0.2565 0.7293
3 Ho 0.2620 0.7472 0.7279
4 Ho 0.2636 0.2636 0.2354
5 Ho 0.2751 0.7176 0.2320
6 Ho 0.5143 0.9860 0.4603
7 Ho 0.7176 0.2751 0.2320
8 Ho 0.7423 0.7423 0.7247
9 Ho 0.7472 0.2620 0.7279
10 Ho 0.9860 0.5143 0.4603
11 Ti 0.4879 0.4879 0.4952
12 Ti 0.4877 0.9811 0.9784
13 Ti 0.4941 0.4941 0.9900
14 Ti 0.7353 0.7353 0.1966
15 Ti 0.9811 0.4877 0.9784
16 Ti 0.9942 0.9942 0.4748
17 O 0.0021 0.6349 0.1633
18 O 0.0496 0.5798 0.6632
19 O 0.0595 0.0595 0.6464
20 O 0.2124 0.6777 0.5254
21 O 0.2251 0.6118 0.0225
22 O 0.2297 0.9035 0.4140
23 O 0.2414 0.2414 0.0404
24 O 0.2726 0.8678 0.9263
25 O 0.3017 0.3017 0.4346
26 O 0.3761 0.9523 0.2489
27 O 0.4300 0.9827 0.8186
28 O 0.4403 0.4403 0.8222
29 O 0.4486 0.4486 0.3175
30 O 0.5627 0.5627 0.6784
31 O 0.5770 0.5770 0.1723
32 O 0.5798 0.0496 0.6632
33 O 0.6118 0.2251 0.0225
34 O 0.6349 0.0021 0.1633
35 O 0.6467 0.6467 0.5081
36 O 0.6616 0.6616 0.0127
37 O 0.6777 0.2124 0.5254
38 O 0.8206 0.8206 0.9293
39 O 0.8221 0.8221 0.3788
40 O 0.8678 0.2726 0.9263
41 O 0.9035 0.2297 0.4140
42 O 0.9523 0.3761 0.2489
43 O 0.9827 0.4300 0.8186

=====

Starting from a crystal structure in the Materials Project, relaxed with PBE, the PXRD pattern of BaMg2Sb2 was calculated for Cu Kα X-rays.

Peak list (10 most intense, 2θ from 5° to 70°, low angle first)
- d = 3.724 Å, 2θ = 23.90°, I 100
- d = 2.929 Å, 2θ = 30.52°, I 58
- d = 2.412 Å, 2θ = 37.28°, I 49
- d = 2.290 Å, 2θ = 39.34°, I 27
- d = 2.024 Å, 2θ = 44.77°, I 19
- d = 1.862 Å, 2θ = 48.92°, I 15
- d = 1.810 Å, 2θ = 50.42°, I 14
- d = 1.564 Å, 2θ = 59.08°, I 12
- d = 1.551 Å, 2θ = 59.63°, I 16
- d = 1.474 Å, 2θ = 63.08°, I 14

Crystal structure
Cell lengths 4.8240, 4.8240, 8.2151 Å; angles 90.00, 90.00, 120.00 degrees
Sites, in units of the cell vectors:
1 Ba 0.0000 0.0000 0.0000
2 Mg 0.3333 0.6667 0.3759
3 Mg 0.6667 0.3333 0.6241
4 Sb 0.3333 0.6667 0.7320
5 Sb 0.6667 0.3333 0.2680

=====

Starting from a crystal structure in the Materials Project, relaxed with PBE, the PXRD pattern of NaYSi2O6 was calculated for Cu Kα X-rays.

Peak list (10 most intense, 2θ from 5° to 70°, low angle first)
- d = 6.929 Å, 2θ = 12.78°, I 62
- d = 4.134 Å, 2θ = 21.50°, I 93
- d = 3.477 Å, 2θ = 25.62°, I 26
- d = 3.206 Å, 2θ = 27.83°, I 54
- d = 3.189 Å, 2θ = 27.98°, I 57
- d = 2.875 Å, 2θ = 31.11°, I 100
- d = 2.414 Å, 2θ = 37.25°, I 29
- d = 2.067 Å, 2θ = 43.80°, I 26
- d = 1.945 Å, 2θ = 46.71°, I 38
- d = 1.923 Å, 2θ = 47.26°, I 31

Crystal structure
Cell lengths 5.4807, 13.8589, 7.6940 Å; angles 90.00, 109.97, 90.00 degrees
Sites, in units of the cell vectors:
1 Na 0.1369 0.2310 0.0463
2 Na 0.1369 0.2690 0.5463
3 Na 0.8631 0.7310 0.4537
4 Na 0.8631 0.7690 0.9537
5 Y 0.0169 0.5057 0.7521
6 Y 0.0169 0.9943 0.2521
7 Y 0.9831 0.0057 0.7479
8 Y 0.9831 0.4943 0.2479
9 Si 0.4183 0.6378 0.0670
10 Si 0.4183 0.8622 0.5670
11 Si 0.4285 0.6396 0.6442
12 Si 0.4285 0.8604 0.1442
13 Si 0.5715 0.1396 0.8558
14 Si 0.5715 0.3604 0.3558
15 Si 0.5817 0.1378 0.4330
16 Si 0.5817 0.3622 0.9330
17 O 0.2001 0.5629 0.0820
18 O 0.2001 0.9371 0.5820
19 O 0.2119 0.5656 0.5165
20 O 0.2119 0.9344 0.0165
21 O 0.2674 0.1340 0.8291
22 O 0.2674 0.3660 0.3291
23 O 0.2843 0.1247 0.3039
24 O 0.2843 0.3753 0.8039
25 O 0.3163 0.7495 0.0799
26 O 0.3163 0.7505 0.5799
27 O 0.3812 0.6217 0.8446
28 O 0.3812 0.8783 0.3446
29 O 0.6188 0.1217 0.6554
30 O 0.6188 0.3783 0.1554
31 O 0.6837 0.2495 0.4201
32 O 0.6837 0.2505 0.9201
33 O 0.7157 0.6247 0.1961
34 O 0.7157 0.8753 0.6961
35 O 0.7326 0.6340 0.6709
36 O 0.7326 0.8660 0.1709
37 O 0.7881 0.0656 0.9835
38 O 0.7881 0.4344 0.4835
39 O 0.7999 0.0629 0.4180
40 O 0.7999 0.4371 0.9180

=====

Starting from a crystal structure in the Materials Project, relaxed with PBE, the PXRD pattern of SmTi4ZnO12 was calculated for Cu Kα X-rays.

Peak list (10 most intense, 2θ from 5° to 70°, low angle first)
- d = 4.405 Å, 2θ = 20.16°, I 100
- d = 2.717 Å, 2θ = 32.97°, I 61
- d = 2.658 Å, 2θ = 33.72°, I 31
- d = 2.351 Å, 2θ = 38.28°, I 16
- d = 2.280 Å, 2θ = 39.53°, I 12
- d = 2.272 Å, 2θ = 39.67°, I 17
- d = 1.966 Å, 2θ = 46.16°, I 14
- d = 1.581 Å, 2θ = 58.37°, I 14
- d = 1.548 Å, 2θ = 59.75°, I 11
- d = 1.544 Å, 2θ = 59.90°, I 14

Crystal structure
Cell lengths 7.8655, 5.3164, 5.3164 Å; angles 89.74, 90.00, 90.00 degrees
Sites, in units of the cell vectors:
1 Sm 0.0000 0.0000 0.0000
2 Ti 0.2667 0.4803 0.9627
3 Ti 0.2667 0.9627 0.4803
4 Ti 0.7333 0.4803 0.9627
5 Ti 0.7333 0.9627 0.4803
6 Zn 0.5000 0.4508 0.4508
7 O 0.0000 0.5179 0.9201
8 O 0.0000 0.9201 0.5179
9 O 0.2075 0.2353 0.2353
10 O 0.2306 0.1676 0.7609
11 O 0.2306 0.7609 0.1676
12 O 0.3207 0.6469 0.6469
13 O 0.5000 0.0669 0.4550
14 O 0.5000 0.4550 0.0669
15 O 0.6793 0.6469 0.6469
16 O 0.7694 0.1676 0.7609
17 O 0.7694 0.7609 0.1676
18 O 0.7925 0.2353 0.2353